Theoretical powder XRD pattern
Compound: MgFe6O8F4
Radiation: Cu Kα (weighted mean of Kα1 and Kα2)
Structure: a GGA+U-relaxed structure
Kinematic intensities with the Lorentz-polarization factor, no thermal factor.

abc: 5.147 5.156 8.822
angles: 90.85 90.51 98.61
Element x y z (fractional)
Mg 0.000 0.000 0.000
Fe 0.367 0.059 0.486
Fe 0.499 0.878 0.816
Fe 0.503 0.870 0.195
Fe 0.916 0.403 0.672
Fe 0.934 0.470 0.340
Fe 0.955 0.503 0.993
O 0.082 0.277 0.847
O 0.091 0.268 0.498
O 0.255 0.756 0.346
O 0.283 0.783 0.001
O 0.590 0.145 0.670
O 0.612 0.179 0.323
O 0.789 0.691 0.840
O 0.804 0.689 0.161
F 0.099 0.280 0.160
F 0.237 0.736 0.666
F 0.658 0.145 0.006
F 0.768 0.624 0.512

Top 8 peaks for 2θ from 10° to 80°, in order of rising 2θ:
2θ = 22.77°, 3.906 Å, I 100; 2θ = 26.54°, 3.358 Å, I 99; 2θ = 35.04°, 2.561 Å, I 39; 2θ = 35.26°, 2.545 Å, I 20; 2θ = 35.46°, 2.531 Å, I 38; 2θ = 38.26°, 2.352 Å, I 19; 2θ = 52.23°, 1.751 Å, I 22; 2θ = 53.18°, 1.722 Å, I 25